1.
This entry pairs a crystal structure of BaGa3Ag5 with its theoretical PXRD pattern. Radiation: Cu Kα, 1.54184 Å. Structure: a GGA-PBE-relaxed structure.

The 8 most intense peaks (2θ = 15–90°), in order of rising 2θ:
- 2θ = 28.64°, intensity 52
- 2θ = 29.80°, intensity 100
- 2θ = 31.64°, intensity 65
- 2θ = 34.75°, intensity 94
- 2θ = 38.83°, intensity 61
- 2θ = 41.17°, intensity 56
- 2θ = 42.90°, intensity 78
- 2θ = 44.00°, intensity 55

Structure:
a b c (Å): 4.2161 13.8897 13.4388
angles (deg): 90.00 90.00 90.00
Space group Cmcm (No. 63)
Symmetry-distinct sites (fractional):
Ba 0.0000 0.1648 0.2500
Ga 0.0000 0.1228 0.7500
Ga 0.0000 0.3809 0.5466
Ag 0.0000 0.0000 0.0000
Ag 0.0000 0.1955 0.5645
Ag 0.0000 0.4495 0.1463

2.
This entry pairs a crystal structure of Pa4AsN5 with its theoretical PXRD pattern. Radiation: Cu Kα, 1.54184 Å. Structure: a GGA-PBE-relaxed structure.

The 8 most intense peaks (2θ = 15–90°), in order of rising 2θ:
- 2θ = 24.48°, intensity 57
- 2θ = 27.01°, intensity 99
- 2θ = 27.49°, intensity 96
- 2θ = 29.86°, intensity 100
- 2θ = 36.35°, intensity 84
- 2θ = 38.92°, intensity 58
- 2θ = 49.19°, intensity 49
- 2θ = 50.50°, intensity 71

Structure:
a b c (Å): 3.7851 6.7438 12.9775
angles (deg): 90.00 90.00 90.00
Space group Immm (No. 71)
Symmetry-distinct sites (fractional):
Pa 0.0000 0.0000 0.2236
Pa 0.0000 0.2107 0.5000
As 0.0000 0.0000 0.0000
N 0.0000 0.2779 0.3277
N 0.0000 0.5000 0.0000

3.
This entry pairs a crystal structure of Tm5Co3 with its theoretical PXRD pattern. Radiation: Cu Kα, 1.54184 Å. Structure: a GGA-PBE-relaxed structure.

The 8 most intense peaks (2θ = 15–90°), in order of rising 2θ:
- 2θ = 29.41°, intensity 27
- 2θ = 31.31°, intensity 19
- 2θ = 34.63°, intensity 100
- 2θ = 36.37°, intensity 63
- 2θ = 36.54°, intensity 19
- 2θ = 41.04°, intensity 39
- 2θ = 58.13°, intensity 22
- 2θ = 62.54°, intensity 20

Structure:
a b c (Å): 6.9550 6.9550 14.0384
angles (deg): 90.00 90.00 90.00
Space group P4/ncc (No. 130, origin choice 2)
Symmetry-distinct sites (fractional):
Tm 0.0723 0.5727 0.1065
Tm 0.2500 0.2500 0.2497
Co 0.1360 0.6360 0.7500
Co 0.2500 0.2500 0.0004

4.
This entry pairs a crystal structure of RbIn4Ge with its theoretical PXRD pattern. Radiation: Cu Kα, 1.54184 Å. Structure: a GGA-PBE-relaxed structure.

The 8 most intense peaks (2θ = 15–90°), in order of rising 2θ:
- 2θ = 28.90°, intensity 100
- 2θ = 31.19°, intensity 48
- 2θ = 32.96°, intensity 40
- 2θ = 36.22°, intensity 29
- 2θ = 37.44°, intensity 18
- 2θ = 37.80°, intensity 15
- 2θ = 39.00°, intensity 30
- 2θ = 54.28°, intensity 18

Structure:
a b c (Å): 4.6184 18.2831 8.5386
angles (deg): 90.00 90.00 90.00
Space group Cmcm (No. 63)
Symmetry-distinct sites (fractional):
Rb 0.0000 0.1282 0.2500
In 0.0000 0.0626 0.7500
In 0.0000 0.3247 0.0524
In 0.0000 0.5000 0.0000
Ge 0.0000 0.2203 0.7500

Repeat the fourth record exactly.
This entry pairs a crystal structure of RbIn4Ge with its theoretical PXRD pattern. Radiation: Cu Kα, 1.54184 Å. Structure: a GGA-PBE-relaxed structure.

The 8 most intense peaks (2θ = 15–90°), in order of rising 2θ:
- 2θ = 28.90°, intensity 100
- 2θ = 31.19°, intensity 48
- 2θ = 32.96°, intensity 40
- 2θ = 36.22°, intensity 29
- 2θ = 37.44°, intensity 18
- 2θ = 37.80°, intensity 15
- 2θ = 39.00°, intensity 30
- 2θ = 54.28°, intensity 18

Structure:
a b c (Å): 4.6184 18.2831 8.5386
angles (deg): 90.00 90.00 90.00
Space group Cmcm (No. 63)
Symmetry-distinct sites (fractional):
Rb 0.0000 0.1282 0.2500
In 0.0000 0.0626 0.7500
In 0.0000 0.3247 0.0524
In 0.0000 0.5000 0.0000
Ge 0.0000 0.2203 0.7500